# Er7Pt2Pb2
Theoretical XRD peak list, Cu Kα. Input: a structure optimized by DFT (GGA-PBE).

Structure:
a = 9.758 Å, b = 9.758 Å, c = 9.758 Å
α = 158.37°, β = 66.93°, γ = 117.54°
Fractional positions:
Er 0.000 0.000 0.000
Er 0.041 0.358 0.683
Er 0.056 0.708 0.348
Er 0.360 0.708 0.652
Er 0.427 0.553 0.874
Er 0.675 0.358 0.317
Er 0.679 0.553 0.126
Pt 0.291 0.050 0.241
Pt 0.809 0.050 0.759
Pb 0.314 0.314 0.000
Pb 0.734 0.234 0.500

Top 6 peaks for 10° ≤ 2θ ≤ 80°, sorted by position:
- 30.63 deg, rel. 35
- 31.22 deg, rel. 63
- 34.10 deg, rel. 100
- 34.45 deg, rel. 27
- 37.91 deg, rel. 31
- 49.80 deg, rel. 41